1.
Simulated X-ray diffraction stick pattern of YFe4Ni8 for copper Kα, from DFT lattice parameters and positions (GGA-PBE).

Main lines, in order of falling intensity (2θ from 10° to 90°):
- 43.7 deg, rel. 100
- 44.2 deg, rel. 68
- 43.6 deg, rel. 65
- 49.6 deg, rel. 55
- 37.7 deg, rel. 44
- 49.2 deg, rel. 26
- 49.0 deg, rel. 26
- 80.1 deg, rel. 22

Atomic structure:
```
YFe4Ni8
1.0
-4.1559 4.1559 2.3553
4.1559 -4.1559 2.3553
4.1559 4.1559 -2.3553
Y Fe Ni
1 4 8
Direct
0.0000 0.0000 0.0000
0.0000 0.0000 0.5000
0.0000 0.5000 0.0000
0.5000 0.0000 0.0000
0.5000 0.5000 0.5000
0.0000 0.3532 0.3532
0.0000 0.6468 0.6468
0.2762 0.5000 0.7762
0.3532 0.0000 0.3532
0.5000 0.2762 0.7762
0.5000 0.7238 0.2238
0.6468 0.0000 0.6468
0.7238 0.5000 0.2238
```


2.
Simulated X-ray diffraction stick pattern of Cr7Ir6 for copper Kα, from DFT lattice parameters and positions (GGA-PBE).

Main lines, in order of falling intensity (2θ from 10° to 90°):
- 38.1 deg, rel. 100
- 41.0 deg, rel. 78
- 43.6 deg, rel. 68
- 44.1 deg, rel. 37
- 70.9 deg, rel. 30
- 81.6 deg, rel. 21
- 44.5 deg, rel. 20
- 22.0 deg, rel. 19

Atomic structure:
```
Cr7Ir6
1.0
2.3597 1.3624 8.7146
-2.3597 1.3624 8.7146
0.0000 -2.7248 8.7146
Cr Ir
7 6
Direct
0.0000 0.0000 0.0000
0.0937 0.0937 0.5839
0.0937 0.5839 0.0937
0.4161 0.9063 0.9063
0.5839 0.0937 0.0937
0.9063 0.4161 0.9063
0.9063 0.9063 0.4161
0.1628 0.1628 0.1628
0.3480 0.3480 0.3480
0.4519 0.4519 0.4519
0.5481 0.5481 0.5481
0.6520 0.6520 0.6520
0.8372 0.8372 0.8372
```


3.
Simulated X-ray diffraction stick pattern of PuCd2In3 for copper Kα, from DFT lattice parameters and positions (GGA-PBE).

Main lines, in order of falling intensity (2θ from 10° to 90°):
- 37.0 deg, rel. 100
- 39.5 deg, rel. 81
- 30.0 deg, rel. 75
- 33.0 deg, rel. 64
- 33.1 deg, rel. 63
- 66.9 deg, rel. 30
- 69.4 deg, rel. 29
- 56.3 deg, rel. 27

Atomic structure:
```
PuCd2In3
1.0
7.4747 -3.2653 0.0000
7.4747 3.2653 0.0000
-1.4539 0.0000 6.3751
Pu Cd In
2 4 6
Direct
0.2353 0.7647 0.7500
0.7647 0.2353 0.2500
0.3398 0.3415 0.9218
0.3415 0.3398 0.4218
0.6585 0.6602 0.5782
0.6602 0.6585 0.0782
0.1629 0.1659 0.0807
0.1659 0.1629 0.5807
0.2645 0.7355 0.2500
0.7355 0.2645 0.7500
0.8341 0.8371 0.4193
0.8371 0.8341 0.9193
```